1.
Diffraction record for CeZn4Ir2. The X-ray powder pattern is computed, not measured: it uses the PBE geometry in Alexandria and λ = 1.5418 Å (Cu Kα).
Intensities are scaled so that the largest is 100.

Structural model:
a = 7.897 Å, b = 7.897 Å, c = 3.888 Å
α = 90.00°, β = 90.00°, γ = 90.00°
Element x y z (fractional)
Ce: 0.000 0.000 0.000
Ce: 0.500 0.500 0.500
Zn: 0.099 0.349 0.500
Zn: 0.151 0.599 0.000
Zn: 0.349 0.099 0.500
Zn: 0.401 0.849 0.000
Zn: 0.599 0.151 0.000
Zn: 0.651 0.901 0.500
Zn: 0.849 0.401 0.000
Zn: 0.901 0.651 0.500
Ir: 0.184 0.816 0.500
Ir: 0.316 0.316 0.000
Ir: 0.684 0.684 0.000
Ir: 0.816 0.184 0.500

Most intense lines, 15 to 90 degrees two-theta, in order of rising 2θ:
- 25.2 deg, rel. 59
- 34.3 deg, rel. 100
- 39.7 deg, rel. 77
- 41.4 deg, rel. 52
- 46.7 deg, rel. 36
- 47.5 deg, rel. 47

2.
Diffraction record for Rb6Ho3Br14. The X-ray powder pattern is computed, not measured: it uses the PBE geometry in Alexandria and λ = 1.5418 Å (Cu Kα).
Intensities are scaled so that the largest is 100.

Structural model:
a = 12.379 Å, b = 12.379 Å, c = 7.491 Å
α = 90.00°, β = 90.00°, γ = 120.00°
Element x y z (fractional)
Rb: 0.022 0.462 0.000
Rb: 0.294 0.205 0.471
Rb: 0.440 0.978 0.000
Rb: 0.538 0.560 0.000
Rb: 0.795 0.089 0.471
Rb: 0.911 0.706 0.471
Ho: 0.000 0.000 0.029
Ho: 0.333 0.667 0.564
Ho: 0.667 0.333 0.664
Br: 0.000 0.000 0.670
Br: 0.071 0.221 0.190
Br: 0.150 0.929 0.190
Br: 0.192 0.750 0.713
Br: 0.250 0.442 0.713
Br: 0.333 0.667 0.205
Br: 0.453 0.255 0.878
Br: 0.528 0.118 0.455
Br: 0.558 0.808 0.713
Br: 0.590 0.472 0.455
Br: 0.745 0.198 0.878
Br: 0.779 0.850 0.190
Br: 0.802 0.547 0.878
Br: 0.882 0.410 0.455

Most intense lines, 15 to 90 degrees two-theta, in order of rising 2θ:
- 20.4 deg, rel. 60
- 25.0 deg, rel. 100
- 27.7 deg, rel. 55
- 28.8 deg, rel. 43
- 29.1 deg, rel. 59
- 38.5 deg, rel. 50

3.
Diffraction record for Fe3Rh4W. The X-ray powder pattern is computed, not measured: it uses the PBE geometry in Alexandria and λ = 1.5418 Å (Cu Kα).
Intensities are scaled so that the largest is 100.

Structural model:
a = 8.688 Å, b = 5.473 Å, c = 4.585 Å
α = 90.00°, β = 90.00°, γ = 90.00°
Element x y z (fractional)
Fe: 0.000 0.000 0.000
Fe: 0.250 0.000 0.346
Fe: 0.250 0.500 0.357
Fe: 0.500 0.000 0.000
Fe: 0.750 0.000 0.654
Fe: 0.750 0.500 0.643
Rh: 0.000 0.248 0.500
Rh: 0.000 0.752 0.500
Rh: 0.250 0.245 0.860
Rh: 0.250 0.755 0.860
Rh: 0.500 0.248 0.500
Rh: 0.500 0.752 0.500
Rh: 0.750 0.245 0.140
Rh: 0.750 0.755 0.140
W: 0.000 0.500 0.000
W: 0.500 0.500 0.000

Most intense lines, 15 to 90 degrees two-theta, in order of rising 2θ:
- 39.7 deg, rel. 20
- 41.6 deg, rel. 41
- 43.8 deg, rel. 100
- 44.7 deg, rel. 30
- 77.4 deg, rel. 18
- 85.4 deg, rel. 18

4.
Diffraction record for Sr2Cd6In3. The X-ray powder pattern is computed, not measured: it uses the PBE geometry in Alexandria and λ = 1.5418 Å (Cu Kα).
Intensities are scaled so that the largest is 100.

Structural model:
a = 8.691 Å, b = 8.691 Å, c = 4.708 Å
α = 90.00°, β = 90.00°, γ = 120.00°
Element x y z (fractional)
Sr: 0.333 0.667 0.000
Sr: 0.667 0.333 0.000
Cd: 0.000 0.195 0.000
Cd: 0.000 0.719 0.500
Cd: 0.195 0.000 0.000
Cd: 0.281 0.281 0.500
Cd: 0.719 0.000 0.500
Cd: 0.805 0.805 0.000
In: 0.000 0.387 0.500
In: 0.387 0.000 0.500
In: 0.613 0.613 0.500

Most intense lines, 15 to 90 degrees two-theta, in order of rising 2θ:
- 27.9 deg, rel. 82
- 31.4 deg, rel. 24
- 35.8 deg, rel. 28
- 36.9 deg, rel. 100
- 38.2 deg, rel. 35
- 43.3 deg, rel. 21

5.
Diffraction record for KGa3. The X-ray powder pattern is computed, not measured: it uses the PBE geometry in Alexandria and λ = 1.5418 Å (Cu Kα).
Intensities are scaled so that the largest is 100.

Structural model:
a = 8.704 Å, b = 8.704 Å, c = 8.704 Å
α = 137.31°, β = 137.31°, γ = 61.95°
Element x y z (fractional)
K: 0.000 0.000 0.000
K: 0.126 0.626 0.500
K: 0.374 0.874 0.500
Ga: 0.015 0.222 0.794
Ga: 0.087 0.393 0.694
Ga: 0.428 0.222 0.206
Ga: 0.500 0.500 0.000
Ga: 0.607 0.301 0.694
Ga: 0.607 0.913 0.306
Ga: 0.699 0.393 0.306
Ga: 0.778 0.572 0.794
Ga: 0.778 0.985 0.206

Most intense lines, 15 to 90 degrees two-theta, in order of rising 2θ:
- 15.2 deg, rel. 100
- 31.2 deg, rel. 64
- 32.2 deg, rel. 72
- 37.2 deg, rel. 28
- 46.4 deg, rel. 35
- 47.0 deg, rel. 30

6.
Diffraction record for PmNd2Sc3. The X-ray powder pattern is computed, not measured: it uses the PBE geometry in Alexandria and λ = 1.5418 Å (Cu Kα).
Intensities are scaled so that the largest is 100.

Structural model:
a = 8.486 Å, b = 8.486 Å, c = 9.948 Å
α = 120.86°, β = 120.86°, γ = 36.92°
Element x y z (fractional)
Pm: 0.135 0.135 0.155
Pm: 0.865 0.865 0.845
Nd: 0.199 0.199 0.845
Nd: 0.469 0.469 0.156
Nd: 0.531 0.531 0.844
Nd: 0.801 0.801 0.155
Sc: 0.051 0.051 0.404
Sc: 0.280 0.280 0.594
Sc: 0.385 0.385 0.405
Sc: 0.615 0.615 0.595
Sc: 0.720 0.720 0.406
Sc: 0.949 0.949 0.596

Most intense lines, 15 to 90 degrees two-theta, in order of rising 2θ:
- 25.8 deg, rel. 49
- 31.8 deg, rel. 100
- 33.4 deg, rel. 51
- 47.0 deg, rel. 19
- 47.9 deg, rel. 18
- 58.6 deg, rel. 25

7.
Diffraction record for Tm4SbS3. The X-ray powder pattern is computed, not measured: it uses the PBE geometry in Alexandria and λ = 1.5418 Å (Cu Kα).
Intensities are scaled so that the largest is 100.

Structural model:
a = 3.859 Å, b = 3.859 Å, c = 13.821 Å
α = 90.00°, β = 90.00°, γ = 120.00°
Element x y z (fractional)
Tm: 0.333 0.667 0.353
Tm: 0.333 0.667 0.878
Tm: 0.667 0.333 0.122
Tm: 0.667 0.333 0.647
Sb: 0.000 0.000 0.500
S: 0.000 0.000 0.000
S: 0.000 0.000 0.237
S: 0.000 0.000 0.763

Most intense lines, 15 to 90 degrees two-theta, in order of rising 2θ:
- 29.7 deg, rel. 100
- 37.4 deg, rel. 46
- 47.1 deg, rel. 32
- 48.0 deg, rel. 19
- 56.7 deg, rel. 16
- 76.7 deg, rel. 14

8.
Diffraction record for K2TlHg4Au3. The X-ray powder pattern is computed, not measured: it uses the PBE geometry in Alexandria and λ = 1.5418 Å (Cu Kα).
Intensities are scaled so that the largest is 100.

Structural model:
a = 4.576 Å, b = 4.576 Å, c = 13.471 Å
α = 90.00°, β = 90.00°, γ = 90.00°
Element x y z (fractional)
K: 0.000 0.500 0.229
K: 0.500 0.000 0.771
Tl: 0.000 0.000 0.500
Hg: 0.000 0.000 0.000
Hg: 0.000 0.500 0.654
Hg: 0.500 0.000 0.346
Hg: 0.500 0.500 0.000
Au: 0.000 0.500 0.861
Au: 0.500 0.000 0.139
Au: 0.500 0.500 0.500

Most intense lines, 15 to 90 degrees two-theta, in order of rising 2θ:
- 20.5 deg, rel. 66
- 30.7 deg, rel. 100
- 38.6 deg, rel. 90
- 38.8 deg, rel. 32
- 39.4 deg, rel. 61
- 70.9 deg, rel. 32

9.
Diffraction record for CsH5I4. The X-ray powder pattern is computed, not measured: it uses the PBE geometry in Alexandria and λ = 1.5418 Å (Cu Kα).
Intensities are scaled so that the largest is 100.

Structural model:
a = 7.378 Å, b = 7.378 Å, c = 7.378 Å
α = 128.57°, β = 104.23°, γ = 97.51°
Element x y z (fractional)
Cs: 0.000 0.000 0.000
H: 0.000 0.290 0.711
H: 0.000 0.710 0.289
H: 0.421 0.710 0.711
H: 0.500 0.500 0.000
H: 0.579 0.290 0.289
I: 0.261 0.761 0.500
I: 0.286 0.500 0.786
I: 0.714 0.500 0.214
I: 0.739 0.239 0.500

Most intense lines, 15 to 90 degrees two-theta, in order of rising 2θ:
- 25.0 deg, rel. 100
- 25.8 deg, rel. 67
- 26.9 deg, rel. 24
- 27.9 deg, rel. 40
- 36.9 deg, rel. 34
- 56.0 deg, rel. 23

10.
Diffraction record for Tb6Nd2Hg. The X-ray powder pattern is computed, not measured: it uses the PBE geometry in Alexandria and λ = 1.5418 Å (Cu Kα).
Intensities are scaled so that the largest is 100.

Structural model:
a = 9.844 Å, b = 10.325 Å, c = 5.526 Å
α = 90.00°, β = 90.00°, γ = 90.00°
Element x y z (fractional)
Tb: 0.019 0.184 0.000
Tb: 0.137 0.604 0.500
Tb: 0.183 0.927 0.500
Tb: 0.317 0.427 0.000
Tb: 0.363 0.104 0.000
Tb: 0.481 0.684 0.500
Tb: 0.519 0.316 0.500
Tb: 0.637 0.896 0.000
Tb: 0.683 0.573 0.000
Tb: 0.817 0.073 0.500
Tb: 0.863 0.396 0.500
Tb: 0.981 0.816 0.000
Nd: 0.191 0.252 0.500
Nd: 0.309 0.752 0.000
Nd: 0.691 0.248 0.000
Nd: 0.809 0.748 0.500
Hg: 0.000 0.500 0.000
Hg: 0.500 0.000 0.500

Most intense lines, 15 to 90 degrees two-theta, in order of rising 2θ:
- 30.6 deg, rel. 23
- 31.7 deg, rel. 100
- 32.0 deg, rel. 50
- 32.4 deg, rel. 47
- 46.0 deg, rel. 17
- 56.8 deg, rel. 20

11.
Diffraction record for Tb2ZnCu3Ni12. The X-ray powder pattern is computed, not measured: it uses the PBE geometry in Alexandria and λ = 1.5418 Å (Cu Kα).
Intensities are scaled so that the largest is 100.

Structural model:
a = 9.331 Å, b = 9.331 Å, c = 9.331 Å
α = 36.80°, β = 36.80°, γ = 36.80°
Element x y z (fractional)
Tb: 0.149 0.149 0.149
Tb: 0.851 0.851 0.851
Zn: 0.500 0.500 0.500
Cu: 0.000 0.500 0.500
Cu: 0.500 0.000 0.500
Cu: 0.500 0.500 0.000
Ni: 0.079 0.079 0.689
Ni: 0.079 0.689 0.079
Ni: 0.142 0.573 0.573
Ni: 0.311 0.921 0.921
Ni: 0.427 0.427 0.858
Ni: 0.427 0.858 0.427
Ni: 0.573 0.142 0.573
Ni: 0.573 0.573 0.142
Ni: 0.689 0.079 0.079
Ni: 0.858 0.427 0.427
Ni: 0.921 0.311 0.921
Ni: 0.921 0.921 0.311

Most intense lines, 15 to 90 degrees two-theta, in order of rising 2θ:
- 32.1 deg, rel. 100
- 36.9 deg, rel. 45
- 37.9 deg, rel. 48
- 38.8 deg, rel. 51
- 42.0 deg, rel. 39
- 45.1 deg, rel. 46

12.
Diffraction record for Ni2Ir6Rh. The X-ray powder pattern is computed, not measured: it uses the PBE geometry in Alexandria and λ = 1.5418 Å (Cu Kα).
Intensities are scaled so that the largest is 100.

Structural model:
a = 7.685 Å, b = 7.685 Å, c = 7.685 Å
α = 159.67°, β = 116.05°, γ = 67.86°
Element x y z (fractional)
Ni: 0.170 0.170 0.000
Ni: 0.830 0.830 0.000
Ir: 0.157 0.814 0.343
Ir: 0.266 0.000 0.266
Ir: 0.470 0.814 0.657
Ir: 0.530 0.186 0.343
Ir: 0.734 0.000 0.734
Ir: 0.843 0.186 0.657
Rh: 0.000 0.500 0.500

Most intense lines, 15 to 90 degrees two-theta, in order of rising 2θ:
- 33.8 deg, rel. 100
- 39.4 deg, rel. 62
- 40.6 deg, rel. 47
- 42.5 deg, rel. 50
- 47.4 deg, rel. 42
- 49.0 deg, rel. 99